No. 1
Calculated powder diffraction line list
Compound: NaTlGaI3
Radiation: Cu Kα, 1.54184 Å
Structure: a structure optimized by DFT (PBE)
Intensities are scaled so that the largest is 100.

Peak list (8 most intense, 2θ = 5–70°, in order of falling intensity)
d/Å  I_rel  hkl
3.493  100  1 1 -2
3.159  86  2 1 0
2.934  82  1 0 -4
3.554  65  0 1 2
11.377  59  0 0 1
2.680  54  2 1 -3
2.910  51  2 1 1
2.276  50  0 2 0

Atomic structure:
Unit cell a=9.074 b=4.552 c=11.764 alpha=90.00 beta=104.75 gamma=90.00
Space group P2_1/m (No. 11)
Inequivalent atoms, fractional coordinates:
Na  0.152  0.250  0.154
Tl  0.240  0.750  0.708
Ga  0.404  0.750  0.461
I  0.113  0.250  0.877
I  0.163  0.250  0.435
I  0.420  0.750  0.222

---

No. 2
Calculated powder diffraction line list
Compound: Nd4Ga2I
Radiation: Cu Kα, 1.54184 Å
Structure: a structure optimized by DFT (PBE)
Intensities are scaled so that the largest is 100.

Peak list (8 most intense, 2θ = 5–70°, in order of falling intensity)
d/Å  I_rel  hkl
2.291  100  4 4 0
3.741  70  2 2 2
2.496  58  1 1 5
3.243  47  0 4 0
4.581  34  0 2 2
2.973  27  1 3 3
2.489  27  5 1 1
3.907  25  3 1 1

Atomic structure:
Unit cell a=12.932 b=12.962 c=12.980 alpha=90.00 beta=90.00 gamma=90.00
Space group Fddd (No. 70, origin choice 2)
Inequivalent atoms, fractional coordinates:
Nd  0.020  0.021  0.229
Ga  0.000  0.000  0.000
I  0.125  0.125  0.625

---

No. 3
Calculated powder diffraction line list
Compound: Nd7GaI12
Radiation: Cu Kα, 1.54184 Å
Structure: a structure optimized by DFT (PBE)
Intensities are scaled so that the largest is 100.

Peak list (8 most intense, 2θ = 5–70°, in order of falling intensity)
d/Å  I_rel  hkl
3.147  100  4 -1 2
2.241  37  5 2 0
2.210  36  1 3 4
1.826  19  2 6 2
1.416  16  9 1 2
1.400  15  5 2 6
8.081  15  1 1 0
3.651  12  1 3 1

Atomic structure:
Unit cell a=16.1628 b=16.1628 c=10.7509 alpha=90.00 beta=90.00 gamma=120.00
Space group R-3 (No. 148, hexagonal axes)
Inequivalent atoms, fractional coordinates:
Nd  0.0000  0.0000  0.0000
Nd  0.0470  0.8819  0.3454
Ga  0.0000  0.0000  0.5000
I  0.0225  0.4348  0.1659
I  0.0521  0.8671  0.8397

---

No. 4
Calculated powder diffraction line list
Compound: NdGa2I5
Radiation: Cu Kα, 1.54184 Å
Structure: a structure optimized by DFT (PBE)
Intensities are scaled so that the largest is 100.

Peak list (8 most intense, 2θ = 5–70°, in order of falling intensity)
d/Å  I_rel  hkl
3.544  100  3 1 1
3.628  99  2 2 -1
3.493  96  1 1 -3
2.350  87  1 3 2
2.799  64  4 2 -2
2.772  59  5 1 0
2.724  59  3 1 -4
7.358  47  2 0 0

Atomic structure:
Unit cell a=15.986 b=8.253 c=11.713 alpha=90.00 beta=113.00 gamma=90.00
Space group Cc (No. 9)
Inequivalent atoms, fractional coordinates:
Nd  0.000  0.000  0.000
Ga  0.110  0.476  0.205
Ga  0.389  0.024  0.795
I  0.000  0.158  0.750
I  0.090  0.318  0.458
I  0.188  0.160  0.144
I  0.312  0.340  0.856
I  0.410  0.182  0.541